Entry 1:
For Be14NiOs, a DFT-relaxed cell (PBE, Alexandria) gives the calculated XRD peak list in this record (λ = 1.5418 Å (Cu Kα)).
Neutral-atom scattering factors, no anomalous dispersion.

Largest 10 diffraction maxima, sorted by position, 10 to 80 degrees two-theta:
Position (°2θ)	I_rel
13.55	100
22.66	21
24.77	19
25.71	15
27.29	23
28.13	34
29.01	17
29.72	17
34.25	13
36.20	25

```
data_Be14NiOs
_chemical_formula_sum 'Be28 Ni2 Os2'
_cell_length_a 6.321
_cell_length_b 7.217
_cell_length_c 7.217
_cell_angle_alpha 100.62
_cell_angle_beta 107.94
_cell_angle_gamma 107.82
_symmetry_space_group_name_H-M 'P 1'
_symmetry_Int_Tables_number 1
loop_
_symmetry_equiv_pos_as_xyz
'x,y,z'
loop_
_atom_site_label
_atom_site_fract_x
_atom_site_fract_y
_atom_site_fract_z
_atom_site_occupancy
Be1 0.045 0.061 0.369 1
Be2 0.060 0.410 0.385 1
Be3 0.070 0.332 0.090 1
Be4 0.072 0.746 0.412 1
Be5 0.195 0.214 0.870 1
Be6 0.200 0.859 0.850 1
Be7 0.209 0.861 0.183 1
Be8 0.293 0.318 0.641 1
Be9 0.299 0.651 0.640 1
Be10 0.306 0.630 0.286 1
Be11 0.424 0.083 0.749 1
Be12 0.427 0.406 0.171 1
Be13 0.441 0.114 0.089 1
Be14 0.454 0.133 0.437 1
Be15 0.546 0.867 0.563 1
Be16 0.559 0.886 0.911 1
Be17 0.573 0.594 0.829 1
Be18 0.576 0.917 0.251 1
Be19 0.694 0.370 0.714 1
Be20 0.701 0.349 0.360 1
Be21 0.707 0.682 0.359 1
Be22 0.791 0.139 0.817 1
Be23 0.800 0.141 0.150 1
Be24 0.805 0.786 0.130 1
Be25 0.928 0.254 0.588 1
Be26 0.930 0.668 0.910 1
Be27 0.940 0.590 0.615 1
Be28 0.955 0.939 0.631 1
Ni1 0.000 0.000 0.000 1
Ni2 0.500 0.500 0.500 1
Os1 0.252 0.570 0.932 1
Os2 0.748 0.430 0.068 1
```

---

Entry 2:
For Be6NiOs, a DFT-relaxed cell (PBE, Alexandria) gives the calculated XRD peak list in this record (λ = 1.5418 Å (Cu Kα)).
Neutral-atom scattering factors, no anomalous dispersion.

Largest 10 diffraction maxima, sorted by position, 10 to 80 degrees two-theta:
Position (°2θ)	I_rel
16.78	19
26.23	100
28.19	44
37.33	19
37.54	20
38.89	72
47.42	28
47.60	29
53.98	18
62.00	16

```
data_Be6NiOs
_chemical_formula_sum 'Be24 Ni4 Os4'
_cell_length_a 5.743
_cell_length_b 5.743
_cell_length_c 9.635
_cell_angle_alpha 90.00
_cell_angle_beta 90.00
_cell_angle_gamma 113.09
_symmetry_space_group_name_H-M 'P 1'
_symmetry_Int_Tables_number 1
loop_
_symmetry_equiv_pos_as_xyz
'x,y,z'
loop_
_atom_site_label
_atom_site_fract_x
_atom_site_fract_y
_atom_site_fract_z
_atom_site_occupancy
Be1 0.000 0.000 0.000 1
Be2 0.000 0.000 0.500 1
Be3 0.115 0.366 0.120 1
Be4 0.115 0.366 0.880 1
Be5 0.141 0.400 0.362 1
Be6 0.141 0.400 0.638 1
Be7 0.248 0.752 0.239 1
Be8 0.248 0.752 0.761 1
Be9 0.366 0.115 0.120 1
Be10 0.366 0.115 0.880 1
Be11 0.400 0.141 0.362 1
Be12 0.400 0.141 0.638 1
Be13 0.500 0.500 0.000 1
Be14 0.500 0.500 0.500 1
Be15 0.600 0.859 0.362 1
Be16 0.600 0.859 0.638 1
Be17 0.634 0.885 0.120 1
Be18 0.634 0.885 0.880 1
Be19 0.752 0.248 0.239 1
Be20 0.752 0.248 0.761 1
Be21 0.859 0.600 0.362 1
Be22 0.859 0.600 0.638 1
Be23 0.885 0.634 0.120 1
Be24 0.885 0.634 0.880 1
Ni1 0.265 0.735 0.000 1
Ni2 0.500 0.500 0.232 1
Ni3 0.500 0.500 0.768 1
Ni4 0.735 0.265 0.000 1
Os1 0.000 0.000 0.268 1
Os2 0.000 0.000 0.732 1
Os3 0.242 0.758 0.500 1
Os4 0.758 0.242 0.500 1
```

---

Entry 3:
For SmBeNiP2, a DFT-relaxed cell (PBE, Alexandria) gives the calculated XRD peak list in this record (λ = 1.5418 Å (Cu Kα)).
Neutral-atom scattering factors, no anomalous dispersion.

Largest 10 diffraction maxima, sorted by position, 10 to 80 degrees two-theta:
Position (°2θ)	I_rel
25.38	75
34.24	23
34.41	100
38.06	81
48.09	32
49.21	33
56.16	18
61.42	36
61.75	24
71.26	19

```
data_SmBeNiP2
_chemical_formula_sum 'Sm2 Be2 Ni2 P4'
_cell_length_a 3.703
_cell_length_b 3.703
_cell_length_c 11.005
_cell_angle_alpha 90.00
_cell_angle_beta 90.00
_cell_angle_gamma 90.00
_symmetry_space_group_name_H-M 'P 1'
_symmetry_Int_Tables_number 1
loop_
_symmetry_equiv_pos_as_xyz
'x,y,z'
loop_
_atom_site_label
_atom_site_fract_x
_atom_site_fract_y
_atom_site_fract_z
_atom_site_occupancy
Sm1 0.000 0.000 0.000 1
Sm2 0.500 0.500 0.500 1
Be1 0.000 0.500 0.250 1
Be2 0.500 0.000 0.750 1
Ni1 0.000 0.500 0.750 1
Ni2 0.500 0.000 0.250 1
P1 0.000 0.000 0.367 1
P2 0.000 0.000 0.633 1
P3 0.500 0.500 0.133 1
P4 0.500 0.500 0.867 1
```

---

Entry 4:
For Pa2Be6Ni21, a DFT-relaxed cell (PBE, Alexandria) gives the calculated XRD peak list in this record (λ = 1.5418 Å (Cu Kα)).
Neutral-atom scattering factors, no anomalous dispersion.

Largest 10 diffraction maxima, sorted by position, 10 to 80 degrees two-theta:
Position (°2θ)	I_rel
16.29	53
23.11	38
36.93	100
40.61	96
43.19	95
47.24	50
49.55	25
56.05	30
71.47	30
73.88	48

```
data_Pa2Be6Ni21
_chemical_formula_sum 'Pa2 Be6 Ni21'
_cell_length_a 7.696
_cell_length_b 7.696
_cell_length_c 7.696
_cell_angle_alpha 60.00
_cell_angle_beta 60.00
_cell_angle_gamma 60.00
_symmetry_space_group_name_H-M 'P 1'
_symmetry_Int_Tables_number 1
loop_
_symmetry_equiv_pos_as_xyz
'x,y,z'
loop_
_atom_site_label
_atom_site_fract_x
_atom_site_fract_y
_atom_site_fract_z
_atom_site_occupancy
Pa1 0.250 0.250 0.250 1
Pa2 0.750 0.750 0.750 1
Be1 0.231 0.231 0.769 1
Be2 0.231 0.769 0.231 1
Be3 0.231 0.769 0.769 1
Be4 0.769 0.231 0.231 1
Be5 0.769 0.231 0.769 1
Be6 0.769 0.769 0.231 1
Ni1 0.117 0.117 0.117 1
Ni2 0.117 0.117 0.649 1
Ni3 0.117 0.649 0.117 1
Ni4 0.159 0.500 0.500 1
Ni5 0.159 0.500 0.841 1
Ni6 0.159 0.841 0.500 1
Ni7 0.351 0.883 0.883 1
Ni8 0.500 0.159 0.500 1
Ni9 0.500 0.159 0.841 1
Ni10 0.500 0.500 0.159 1
Ni11 0.500 0.500 0.500 1
Ni12 0.500 0.500 0.841 1
Ni13 0.500 0.841 0.159 1
Ni14 0.500 0.841 0.500 1
Ni15 0.649 0.117 0.117 1
Ni16 0.841 0.159 0.500 1
Ni17 0.841 0.500 0.159 1
Ni18 0.841 0.500 0.500 1
Ni19 0.883 0.351 0.883 1
Ni20 0.883 0.883 0.351 1
Ni21 0.883 0.883 0.883 1
```